Calculated powder diffraction line list
Compound: CaPu2Sn9
Radiation: CuKα
Structure: a PBE-relaxed structure
Peak positions follow from Bragg's law for the DFT cell and can differ from measured ones.

Top 10 peaks for 15° ≤ 2θ ≤ 90°, low angle first:
| d (Å) | 2theta | I (rel.) | (hkl) |
| --- | --- | --- | --- |
| 4.855 | 18.27 | 14 | 1 0 -2 |
| 2.855 | 31.33 | 100 | 0 1 3 |
| 2.656 | 33.75 | 89 | 2 1 -1 |
| 2.427 | 37.03 | 65 | 2 0 -4 |
| 2.350 | 38.31 | 16 | 0 1 4 |
| 2.298 | 39.20 | 25 | 0 2 0 |
| 1.669 | 55.03 | 32 | 2 2 -4 |
| 1.627 | 56.56 | 13 | 4 0 -2 |
| 1.503 | 61.73 | 17 | 2 1 -7 |
| 1.414 | 66.09 | 23 | 4 1 -5 |

Structure:
```
data_CaPu2Sn9
_space_group_name_H-M_alt 'P 1 2 1'
_space_group_IT_number 3
_space_group_name_Hall 'P 2y'
_cell_length_a 6.508
_cell_length_b 4.596
_cell_length_c 11.406
_cell_angle_alpha 90.00
_cell_angle_beta 106.51
_cell_angle_gamma 90.00
loop_
_atom_site_label
_atom_site_type_symbol
_atom_site_fract_x
_atom_site_fract_y
_atom_site_fract_z
_atom_site_occupancy
Ca1 Ca 0.000 0.000 0.000 1
Pu1 Pu 0.181 0.987 0.360 1
Sn1 Sn 0.000 0.488 0.500 1
Sn2 Sn 0.148 0.499 0.809 1
Sn3 Sn 0.332 0.993 0.665 1
Sn4 Sn 0.340 0.500 0.191 1
Sn5 Sn 0.500 0.166 0.000 1
Sn6 Sn 0.500 0.488 0.500 1
```

=====

Calculated powder diffraction line list
Compound: CaPuTc
Radiation: CuKα
Structure: a PBE-relaxed structure
Peak positions follow from Bragg's law for the DFT cell and can differ from measured ones.

Top 10 peaks for 15° ≤ 2θ ≤ 90°, low angle first:
| d (Å) | 2theta | I (rel.) | (hkl) |
| --- | --- | --- | --- |
| 3.307 | 26.96 | 39 | 1 0 1 |
| 2.639 | 33.97 | 100 | 1 0 3 |
| 2.426 | 37.05 | 56 | 1 1 0 |
| 2.259 | 39.91 | 37 | 1 1 2 |
| 2.009 | 45.13 | 44 | 1 0 5 |
| 1.910 | 47.61 | 16 | 1 1 4 |
| 1.716 | 53.41 | 20 | 2 0 0 |
| 1.573 | 58.69 | 25 | 1 0 7 |
| 1.438 | 64.82 | 31 | 2 1 3 |
| 1.305 | 72.43 | 32 | 2 1 5 |

Structure:
```
data_CaPuTc
_space_group_name_H-M_alt 'I 4 m m'
_space_group_IT_number 107
_space_group_name_Hall 'I 4 -2'
_cell_length_a 3.431
_cell_length_b 3.431
_cell_length_c 12.392
_cell_angle_alpha 90.00
_cell_angle_beta 90.00
_cell_angle_gamma 90.00
loop_
_atom_site_label
_atom_site_type_symbol
_atom_site_fract_x
_atom_site_fract_y
_atom_site_fract_z
_atom_site_occupancy
Ca1 Ca 0.000 0.000 0.000 1
Pu1 Pu 0.000 0.000 0.272 1
Tc1 Tc 0.000 0.000 0.671 1
```

=====

Calculated powder diffraction line list
Compound: Ca3Y3PuTe8
Radiation: CuKα
Structure: a PBE-relaxed structure
Peak positions follow from Bragg's law for the DFT cell and can differ from measured ones.

Top 10 peaks for 15° ≤ 2θ ≤ 90°, low angle first:
| d (Å) | 2theta | I (rel.) | (hkl) |
| --- | --- | --- | --- |
| 3.753 | 23.71 | 8 | 0 2 1 |
| 3.131 | 28.51 | 100 | 0 2 4 |
| 2.229 | 40.48 | 38 | 2 0 8 |
| 2.199 | 41.04 | 37 | 2 2 0 |
| 1.832 | 49.77 | 7 | 0 0 12 |
| 1.800 | 50.73 | 20 | 4 0 4 |
| 1.565 | 59.01 | 12 | 0 4 8 |
| 1.408 | 66.42 | 17 | 2 2 12 |
| 1.393 | 67.22 | 16 | 2 4 4 |
| 1.275 | 74.39 | 12 | 4 2 8 |

Structure:
```
data_Ca3Y3PuTe8
_space_group_name_H-M_alt 'R -3 m'
_space_group_IT_number 166
_space_group_name_Hall '-R 3 2"'
_cell_length_a 8.7966
_cell_length_b 8.7966
_cell_length_c 21.9844
_cell_angle_alpha 90.00
_cell_angle_beta 90.00
_cell_angle_gamma 120.00
loop_
_atom_site_label
_atom_site_type_symbol
_atom_site_fract_x
_atom_site_fract_y
_atom_site_fract_z
_atom_site_occupancy
Ca1 Ca 0.0000 0.5000 0.0000 1
Y1 Y 0.0000 0.5000 0.5000 1
Pu1 Pu 0.0000 0.0000 0.5000 1
Te1 Te 0.0000 0.0000 0.2483 1
Te2 Te 0.0097 0.5049 0.7505 1
```